Ho2H5: computed powder XRD pattern (a wavelength of 1.5418 Å), based on the GGA-PBE geometry in OQMD.

Largest 10 diffraction maxima, low angle first, 10 to 90 degrees two-theta:
30.4°, I = 1000
35.0°, I = 170
35.4°, I = 329
50.6°, I = 253
51.0°, I = 125
59.9°, I = 147
60.5°, I = 288
63.3°, I = 124
82.5°, I = 120
83.0°, I = 60

```
Ho2H5
1.0
-2.535 2.535 5.132
2.535 -2.535 5.132
2.535 2.535 -5.132
Ho H
4 10
Cartesian
0.000 0.000 0.000 Ho
2.535 0.000 2.516 Ho
0.000 0.000 5.081 Ho
0.000 2.535 2.566 Ho
1.180 1.268 -1.308 H
1.355 -1.267 3.824 H
0.000 0.000 2.534 H
1.268 1.355 1.258 H
1.267 -1.180 6.389 H
1.180 3.801 -1.308 H
1.355 1.267 3.824 H
1.268 3.714 1.258 H
1.267 1.180 6.389 H
0.000 2.535 5.100 H
```



LaHoH4: computed powder XRD pattern (a wavelength of 1.5418 Å), based on the GGA-PBE geometry in OQMD.

Largest 10 diffraction maxima, low angle first, 10 to 90 degrees two-theta:
28.8°, I = 1000
32.7°, I = 173
33.8°, I = 317
47.7°, I = 258
48.5°, I = 123
56.0°, I = 156
57.4°, I = 289
59.7°, I = 126
77.2°, I = 121
78.4°, I = 58

```
LaHoH4
1.0
3.754 0.000 0.000
0.000 3.754 0.000
0.000 0.000 5.479
La Ho H
1 1 4
Cartesian
0.000 0.000 0.000 La
1.877 1.877 2.739 Ho
0.000 1.877 1.512 H
0.000 1.877 3.967 H
1.877 0.000 1.512 H
1.877 0.000 3.967 H
```



HoH3O3: computed powder XRD pattern (a wavelength of 1.5418 Å), based on the GGA-PBE geometry in OQMD.

Largest 10 diffraction maxima, low angle first, 10 to 90 degrees two-theta:
16.5°, I = 979
28.9°, I = 731
30.6°, I = 1000
33.4°, I = 173
42.6°, I = 671
51.1°, I = 249
52.3°, I = 619
61.1°, I = 192
68.7°, I = 206
83.4°, I = 179

```
HoH3O3
1.0
6.189 0.000 0.000
-3.094 5.359 0.000
0.000 0.000 3.480
Ho H O
2 6 6
Cartesian
0.000 3.573 0.870 Ho
3.094 1.786 2.610 Ho
-1.845 4.604 2.610 H
0.030 1.460 2.610 H
1.279 0.704 0.870 H
1.815 4.655 2.610 H
3.065 3.900 0.870 H
4.939 0.755 0.870 H
-0.704 2.099 2.610 O
-0.924 4.919 2.610 O
1.466 1.659 0.870 O
1.628 3.700 2.610 O
4.019 0.440 0.870 O
3.798 3.260 0.870 O
```